# Tb2MgCuGe4O12
Theoretical powder diffractogram, Cu Kα (weighted mean of Kα1 and Kα2). Input: a PBE-relaxed structure.

The 10 most intense peaks (2θ = 10–90°), low angle first:
2theta  intensity
12.46  30
20.46  36
23.63  48
27.58  100
29.13  20
29.61  44
31.08  66
32.66  39
33.66  38
34.02  22

Structural model:
abc: 5.368 7.310 7.652
angles: 68.33 88.82 79.50
Space group P1 (No. 1)
One atom of each set of equivalent atoms:
Tb 0.000 0.000 0.000 x1
Tb 0.075 0.545 0.866 x1
Mg 0.118 0.506 0.363 x1
Cu 0.988 0.847 0.446 x1
Ge 0.452 0.185 0.221 x1
Ge 0.498 0.935 0.668 x1
Ge 0.575 0.652 0.207 x1
Ge 0.617 0.359 0.661 x1
O 0.227 0.782 0.276 x1
O 0.239 0.208 0.041 x1
O 0.266 0.839 0.823 x1
O 0.290 0.454 0.628 x1
O 0.325 0.110 0.453 x1
O 0.401 0.453 0.177 x1
O 0.664 0.084 0.750 x1
O 0.746 0.042 0.223 x1
O 0.758 0.761 0.647 x1
O 0.762 0.457 0.439 x1
O 0.802 0.349 0.849 x1
O 0.888 0.654 0.089 x1